This entry pairs a crystal structure of MgTa2Ir with its simulated X-ray diffraction stick pattern. Radiation: CuKα. Structure: a cell relaxed with PBE.
Peak positions follow from Bragg's law for the DFT cell and can differ from measured ones.

Peak list (10 most intense, 10° ≤ 2θ ≤ 80°, sorted by position)
10.91°, I 47, (0 0 1)
21.91°, I 11, (0 0 2)
32.26°, I 8, (1 0 1)
37.68°, I 100, (1 0 2)
43.34°, I 36, (1 1 0)
44.68°, I 13, (0 0 4)
45.48°, I 10, (1 0 3)
62.96°, I 12, (2 0 0)
64.00°, I 18, (1 1 4)
75.75°, I 27, (2 1 2)

Cell and atoms:
```
data_MgTa2Ir
_chemical_formula_sum 'Mg1 Ta2 Ir1'
_space_group_name_H-M_alt 'P 4 m m'
_space_group_IT_number 99
_cell_length_a 2.953
_cell_length_b 2.953
_cell_length_c 8.112
_cell_angle_alpha 90.00
_cell_angle_beta 90.00
_cell_angle_gamma 90.00
loop_
_space_group_symop_operation_xyz
'x,y,z'
'-y,x,z'
'-x,-y,z'
'y,-x,z'
'-x,y,z'
'y,x,z'
'x,-y,z'
'-y,-x,z'
loop_
_atom_site_label
_atom_site_type_symbol
_atom_site_fract_x
_atom_site_fract_y
_atom_site_fract_z
Mg1 Mg 0.000 0.000 0.000
Ta1 Ta 0.000 0.000 0.565
Ta2 Ta 0.500 0.500 0.294
Ir1 Ir 0.500 0.500 0.775
```